1.
Computed powder diffractogram of CsLi2Pa2S6 for a wavelength of 1.5418 Å, from the GGA-PBE geometry in Alexandria.

The 12 most intense peaks (2θ from 10° to 90°), in order of falling intensity:
d (Å)	two_theta	I (rel.)
6.754	13.1	1000
3.048	29.3	441
3.633	24.5	414
3.377	26.4	326
3.492	25.5	226
2.797	32.0	174
1.818	50.2	153
3.534	25.2	150
6.177	14.3	128
2.645	33.9	118
2.635	34.0	118
2.024	44.8	116

Structural model:
```
11
Lattice="6.9540 0.0000 0.0000 1.7346 7.0686 0.0000 0.8429 3.5340 6.3532" Properties=species:S:1:pos:R:3 pbc="T T T"
Cs 0.0000 0.0000 0.0000
Li 4.3416 3.5495 1.5670
Li 5.1898 7.0531 4.7862
Pa 0.8617 3.5323 2.1312
Pa 8.6698 7.0702 4.2220
S 2.8949 5.1785 2.7445
S 3.7579 8.7085 3.6198
S 2.4325 2.8237 0.0039
S 7.0990 7.7788 6.3494
S 5.7736 1.8940 2.7334
S 6.6366 5.4240 3.6087
```

2.
Computed powder diffractogram of Cs2LiPa2Se6 for a wavelength of 1.5418 Å, from the GGA-PBE geometry in Alexandria.

The 12 most intense peaks (2θ from 10° to 90°), in order of falling intensity:
d (Å)	two_theta	I (rel.)
3.185	28.0	1000
8.532	10.4	617
3.134	28.5	496
2.102	43.0	472
5.618	15.8	460
2.396	37.5	311
6.338	14.0	263
4.528	19.6	252
1.752	52.2	197
2.113	42.8	182
2.597	34.5	178
2.424	37.1	152

Structural model:
```
11
Lattice="3.6333 -6.3382 0.0000 3.6333 6.3382 0.0000 -2.2614 0.0000 8.5322" Properties=species:S:1:pos:R:3 pbc="T T T"
Cs 3.6333 4.3086 0.0000
Cs 3.6333 -4.3086 0.0000
Li -1.1307 0.0000 4.2661
Pa 2.5026 2.1023 4.2661
Pa 2.5026 -2.1023 4.2661
Se 0.1374 2.2257 5.8071
Se 1.3944 0.0000 2.7326
Se 0.1374 -2.2257 5.8071
Se 4.8679 2.2257 2.7252
Se 3.6108 0.0000 5.7997
Se 4.8679 -2.2257 2.7252
```

3.
Computed powder diffractogram of CsLi2Pb9 for a wavelength of 1.5418 Å, from the GGA-PBE geometry in Alexandria.

The 12 most intense peaks (2θ from 10° to 90°), in order of falling intensity:
d (Å)	two_theta	I (rel.)
3.153	28.3	1000
2.645	33.9	537
3.182	28.0	278
8.418	10.5	218
2.380	37.8	208
2.430	37.0	159
2.104	43.0	152
1.509	61.5	140
1.906	47.7	133
1.534	60.4	125
1.577	58.5	124
1.485	62.6	111

Structural model:
```
12
Lattice="9.7201 0.0000 0.0000 -4.8600 8.4178 0.0000 0.0000 0.0000 4.7603" Properties=species:S:1:pos:R:3 pbc="T T T"
Cs 0.0000 0.0000 0.0000
Li 0.0000 5.6119 0.0000
Li 4.8600 2.8059 0.0000
Pb -2.4300 4.2089 0.0000
Pb 0.0000 3.6119 2.3802
Pb -1.7321 6.6119 2.3802
Pb 3.1280 1.8059 2.3802
Pb 4.8600 0.0000 0.0000
Pb 2.4300 4.2089 0.0000
Pb 1.7321 6.6119 2.3802
Pb 6.5921 1.8059 2.3802
Pb 4.8600 4.8060 2.3802
```